# Pr3Pu5Se8
Computed XRD peak list, Cu Kα (weighted mean of Kα1 and Kα2). Input: DFT lattice parameters and positions (PBE).
Peak positions follow from Bragg's law for the DFT cell and can differ from measured ones.

Peak list (8 most intense, 2θ from 10° to 90°, sorted by position)
26.0 deg, intensity 35
30.2 deg, intensity 100
43.2 deg, intensity 76
51.1 deg, intensity 18
53.6 deg, intensity 27
62.7 deg, intensity 13
71.1 deg, intensity 35
79.2 deg, intensity 26

Structure:
a = 8.3823 Å, b = 8.3823 Å, c = 20.5343 Å
α = 90.00°, β = 90.00°, γ = 120.00°
Space group R-3m (No. 166, hexagonal axes)
Symmetry-distinct sites (fractional):
Pr 0.0000 0.5000 0.0000
Pu 0.0000 0.0000 0.0000
Pu 0.0000 0.0000 0.5000
Pu 0.0000 0.5000 0.5000
Se 0.0000 0.0000 0.2461
Se 0.0041 0.5020 0.7520